[1]
# LiVC2O6
Simulated X-ray powder pattern, copper Kα. Input: a cell relaxed with GGA+U.
Lines closer than 0.1° are merged.

Crystal structure
```
data_LiVC2O6
_chemical_formula_sum 'Li2 V2 C4 O12'
_cell_length_a 4.678
_cell_length_b 7.947
_cell_length_c 5.373
_cell_angle_alpha 90.00
_cell_angle_beta 90.23
_cell_angle_gamma 90.00
_space_group_name_H-M_alt 'C 1 2 1'
_space_group_IT_number 5
loop_
_space_group_symop_operation_xyz
'x,y,z'
'-x,y,-z'
'x+1/2,y+1/2,z'
'-x+1/2,y+1/2,-z'
loop_
_atom_site_label
_atom_site_type_symbol
_atom_site_fract_x
_atom_site_fract_y
_atom_site_fract_z
Li1 Li 0.000 0.000 0.000
V1 V 0.000 0.674 0.500
C1 C 0.002 0.331 0.263
O1 O 0.127 0.475 0.730
O2 O 0.145 0.193 0.740
O3 O 0.219 0.824 0.740
```

Principal peaks in the range 10° ≤ 2θ ≤ 90°, in order of rising 2θ:
index  2theta  d [Å]  I (rel.)
0 0 1  16.5  5.373  100
1 1 0  22.1  4.031  61
0 2 0  22.4  3.974  40
1 1 -1  27.7  3.225  96
0 2 1  27.9  3.195  44
1 1 -2  40.3  2.239  37
1 1 2  40.4  2.232  37
0 2 2  40.5  2.226  31
2 0 -1  42.1  2.148  37
1 3 1  42.7  2.117  72

***

[2]
# LiVCO4
Simulated X-ray powder pattern, copper Kα. Input: a cell relaxed with GGA+U.
Lines closer than 0.1° are merged.

Crystal structure
```
data_LiVCO4
_chemical_formula_sum 'Li4 V4 C4 O16'
_cell_length_a 3.185
_cell_length_b 9.364
_cell_length_c 9.430
_cell_angle_alpha 89.95
_cell_angle_beta 88.50
_cell_angle_gamma 90.00
_space_group_name_H-M_alt 'P -1'
_space_group_IT_number 2
loop_
_space_group_symop_operation_xyz
'x,y,z'
'-x,-y,-z'
loop_
_atom_site_label
_atom_site_type_symbol
_atom_site_fract_x
_atom_site_fract_y
_atom_site_fract_z
Li1 Li 0.247 0.192 0.092
Li2 Li 0.247 0.308 0.591
V1 V 0.260 0.562 0.119
V2 V 0.260 0.939 0.619
C1 C 0.244 0.630 0.666
C2 C 0.244 0.870 0.166
O1 O 0.235 0.507 0.740
O2 O 0.235 0.993 0.240
O3 O 0.243 0.628 0.533
O4 O 0.243 0.872 0.033
O5 O 0.248 0.113 0.501
O6 O 0.249 0.387 0.002
O7 O 0.259 0.751 0.240
O8 O 0.260 0.749 0.739
```

Principal peaks in the range 10° ≤ 2θ ≤ 90°, in order of rising 2θ:
index  2theta  d [Å]  I (rel.)
0 1 1  13.3  6.643  100
0 2 0  19.0  4.682  30
0 1 -2  21.1  4.209  38
1 1 0  29.6  3.015  29
1 0 2  33.6  2.671  35
1 0 -2  34.4  2.606  55
0 3 -2  34.5  2.601  18
-1 1 3  42.0  2.149  13
0 4 2  43.1  2.097  18
2 0 0  57.9  1.592  16

***

[3]
# LiVC2O6
Simulated X-ray powder pattern, copper Kα. Input: a cell relaxed with GGA+U.
Lines closer than 0.1° are merged.

Crystal structure
```
data_LiVC2O6
_chemical_formula_sum 'Li4 V4 C8 O24'
_cell_length_a 7.708
_cell_length_b 7.957
_cell_length_c 8.528
_cell_angle_alpha 100.69
_cell_angle_beta 103.10
_cell_angle_gamma 105.15
_space_group_name_H-M_alt 'P -1'
_space_group_IT_number 2
loop_
_space_group_symop_operation_xyz
'x,y,z'
'-x,-y,-z'
loop_
_atom_site_label
_atom_site_type_symbol
_atom_site_fract_x
_atom_site_fract_y
_atom_site_fract_z
Li1 Li 0.019 0.217 0.341
Li2 Li 0.299 0.334 0.995
V1 V 0.261 0.721 0.944
V2 V 0.470 0.207 0.545
C1 C 0.156 0.531 0.230
C2 C 0.262 0.992 0.258
C3 C 0.320 0.059 0.795
C4 C 0.377 0.539 0.730
O1 O 0.007 0.409 0.230
O2 O 0.168 0.882 0.119
O3 O 0.204 0.529 0.093
O4 O 0.212 0.921 0.824
O5 O 0.226 0.137 0.324
O6 O 0.257 0.645 0.369
O7 O 0.274 0.084 0.648
O8 O 0.313 0.479 0.845
O9 O 0.393 0.706 0.740
O10 O 0.414 0.978 0.355
O11 O 0.424 0.443 0.620
O12 O 0.457 0.176 0.916
```

Principal peaks in the range 10° ≤ 2θ ≤ 90°, in order of rising 2θ:
index  2theta  d [Å]  I (rel.)
1 0 0  12.4  7.120  100
1 0 -1  14.0  6.315  18
1 -1 0  14.3  6.213  47
-1 1 1  17.8  4.997  30
1 0 1  18.9  4.691  29
1 1 -1  19.1  4.635  42
1 0 -2  22.1  4.029  28
1 -2 0  23.3  3.822  23
0 2 -2  28.2  3.162  46
2 0 1  30.3  2.952  45

***

[4]
# LiVC2O6
Simulated X-ray powder pattern, copper Kα. Input: a cell relaxed with GGA+U.
Lines closer than 0.1° are merged.

Crystal structure
```
data_LiVC2O6
_chemical_formula_sum 'Li6 V6 C12 O36'
_cell_length_a 13.959
_cell_length_b 8.018
_cell_length_c 5.368
_cell_angle_alpha 90.00
_cell_angle_beta 90.06
_cell_angle_gamma 90.00
_space_group_name_H-M_alt 'C 1 2 1'
_space_group_IT_number 5
loop_
_space_group_symop_operation_xyz
'x,y,z'
'-x,y,-z'
'x+1/2,y+1/2,z'
'-x+1/2,y+1/2,-z'
loop_
_atom_site_label
_atom_site_type_symbol
_atom_site_fract_x
_atom_site_fract_y
_atom_site_fract_z
Li1 Li 0.000 0.000 0.000
Li2 Li 0.169 0.498 0.001
V1 V 0.000 0.335 0.500
V2 V 0.166 0.827 0.501
C1 C 0.000 0.667 0.262
C2 C 0.166 0.165 0.277
C3 C 0.167 0.165 0.749
O1 O 0.044 0.524 0.263
O2 O 0.049 0.804 0.262
O3 O 0.073 0.164 0.278
O4 O 0.093 0.672 0.739
O5 O 0.112 0.296 0.749
O6 O 0.129 0.018 0.750
O7 O 0.212 0.305 0.276
O8 O 0.213 0.025 0.281
O9 O 0.241 0.683 0.250
```

Principal peaks in the range 10° ≤ 2θ ≤ 90°, in order of rising 2θ:
index  2theta  d [Å]  I (rel.)
0 0 1  16.5  5.368  72
0 2 0  22.1  4.019  74
3 1 1  27.7  3.217  100
0 0 2  33.4  2.684  16
3 1 -2  40.4  2.232  74
6 0 1  42.4  2.134  27
3 3 -1  42.5  2.128  52
3 3 -2  52.1  1.754  22
0 2 3  56.3  1.635  14
0 0 4  70.1  1.342  18

***

[5]
# Li3V2C4O12
Simulated X-ray powder pattern, copper Kα. Input: a cell relaxed with GGA+U.
Lines closer than 0.1° are merged.

Crystal structure
```
data_Li3V2C4O12
_chemical_formula_sum 'Li3 V2 C4 O12'
_cell_length_a 5.349
_cell_length_b 6.492
_cell_length_c 8.533
_cell_angle_alpha 83.95
_cell_angle_beta 72.87
_cell_angle_gamma 66.37
_space_group_name_H-M_alt 'P 1'
_space_group_IT_number 1
loop_
_space_group_symop_operation_xyz
'x,y,z'
loop_
_atom_site_label
_atom_site_type_symbol
_atom_site_fract_x
_atom_site_fract_y
_atom_site_fract_z
Li1 Li 0.000 0.000 0.000
Li2 Li 0.100 0.469 0.827
Li3 Li 0.386 0.871 0.364
V1 V 0.483 0.444 0.183
V2 V 0.728 0.934 0.672
C1 C 0.185 0.544 0.467
C2 C 0.575 0.823 0.980
C3 C 0.583 0.338 0.882
C4 C 0.763 0.056 0.374
O1 O 0.022 0.588 0.614
O2 O 0.109 0.498 0.347
O3 O 0.337 0.410 0.996
O4 O 0.408 0.888 0.886
O5 O 0.441 0.545 0.423
O6 O 0.494 0.756 0.129
O7 O 0.548 0.018 0.468
O8 O 0.596 0.277 0.743
O9 O 0.756 0.134 0.225
O10 O 0.798 0.334 0.929
O11 O 0.827 0.827 0.920
O12 O 0.978 0.012 0.427
```

Principal peaks in the range 10° ≤ 2θ ≤ 90°, in order of rising 2θ:
index  2theta  d [Å]  I (rel.)
0 1 -1  18.3  4.838  21
0 1 1  18.6  4.772  19
1 0 0  18.8  4.709  46
1 1 0  19.0  4.681  100
1 1 1  19.2  4.623  61
1 -1 0  28.4  3.144  22
1 2 0  28.6  3.122  13
0 2 0  30.1  2.974  24
0 2 -1  31.9  2.807  18
0 2 1  32.2  2.781  20